Theoretical powder X-ray diffraction pattern of Tb2TmAg4 for Cu Kα, from a DFT-relaxed cell (GGA-PBE, Alexandria).
Peak positions follow from Bragg's law for the DFT cell and can differ from measured ones.

Unit cell a=5.2547 b=5.2547 c=12.7817 alpha=90.00 beta=90.00 gamma=90.00
Space group I4/mmm (No. 139)
Symmetry-distinct sites (fractional):
1 Tb 0.0000 0.0000 0.2255 (multiplicity 4)
2 Tm 0.0000 0.0000 0.5000 (multiplicity 2)
3 Ag 0.0000 0.5000 0.1174 (multiplicity 8)

Principal peaks in the range 2θ from 15° to 90°, by angle:
d_spacing, 2θ/deg, intensity, hkl
4.860, 18.25, 11, 1 0 1
3.309, 26.94, 29, 1 0 3
2.627, 34.13, 73, 2 0 0
2.423, 37.11, 100, 1 1 4
2.058, 44.00, 16, 2 1 3
1.858, 49.03, 26, 2 2 0
1.474, 63.06, 41, 3 1 4
1.442, 64.64, 10, 2 1 7
1.365, 68.77, 10, 2 0 8
1.175, 82.01, 11, 4 2 0